The following is a calculated powder XRD pattern of Fe9P8O32. It was derived from a PBE+U-relaxed structure, using Cu Kα, 1.54184 Å.
Lines closer than 0.1° are merged.

The 10 most intense peaks (2θ = 10–90°), low angle first:
2θ (°), I/Imax
15.9, 100
21.4, 50
24.5, 33
26.7, 31
26.9, 33
31.0, 22
31.3, 23
32.2, 38
33.6, 25
34.9, 33

Atomic structure:
Unit cell a=8.8218 b=8.9402 c=9.3523 alpha=111.46 beta=101.81 gamma=101.00
Element x y z (fractional)
Fe 0.0000 0.0000 0.0000
Fe 0.0000 0.5000 0.5000
Fe 0.2026 0.2346 0.4322
Fe 0.2862 0.6429 0.0703
Fe 0.3163 0.2042 0.9591
Fe 0.5000 0.0000 0.5000
Fe 0.6837 0.7958 0.0409
Fe 0.7138 0.3571 0.9297
Fe 0.7974 0.7654 0.5678
P 0.0620 0.3769 0.1527
P 0.1641 0.8805 0.5989
P 0.3338 0.0444 0.2234
P 0.3966 0.4624 0.7993
P 0.6034 0.5376 0.2007
P 0.6662 0.9556 0.7766
P 0.8359 0.1195 0.4011
P 0.9380 0.6231 0.8473
O 0.0200 0.1488 0.4831
O 0.1076 0.3725 0.3218
O 0.1240 0.6795 0.9171
O 0.1313 0.2425 0.0454
O 0.1316 0.5504 0.1585
O 0.1493 0.0276 0.2076
O 0.1832 0.7081 0.5792
O 0.1978 0.9983 0.7833
O 0.2742 0.9712 0.5304
O 0.2835 0.3689 0.8682
O 0.3041 0.4375 0.6311
O 0.3786 0.0841 0.0903
O 0.3792 0.8844 0.2250
O 0.4140 0.1841 0.3989
O 0.4436 0.6510 0.9292
O 0.4488 0.5897 0.2070
O 0.5512 0.4103 0.7930
O 0.5564 0.3490 0.0708
O 0.5860 0.8159 0.6011
O 0.6208 0.1156 0.7750
O 0.6214 0.9159 0.9097
O 0.6959 0.5625 0.3689
O 0.7165 0.6311 0.1318
O 0.7258 0.0288 0.4696
O 0.8022 0.0017 0.2167
O 0.8168 0.2919 0.4208
O 0.8507 0.9724 0.7924
O 0.8684 0.4496 0.8415
O 0.8687 0.7575 0.9546
O 0.8760 0.3205 0.0829
O 0.8924 0.6275 0.6782
O 0.9800 0.8512 0.5169

***

The following is a calculated powder XRD pattern of MgZn2Fe4O8. It was derived from a PBE+U-relaxed structure, using Cu Kα, 1.54184 Å.
Lines closer than 0.1° are merged.

The 10 most intense peaks (2θ = 10–90°), low angle first:
2θ (°), I/Imax
29.0, 43
32.4, 75
32.6, 82
34.1, 89
34.4, 38
34.6, 100
34.7, 37
38.7, 41
60.1, 38
61.7, 38

Atomic structure:
Unit cell a=6.0162 b=6.1604 c=6.2847 alpha=117.92 beta=118.53 gamma=90.63
Element x y z (fractional)
Mg 0.0000 0.0000 0.0000
Zn 0.0543 0.7785 0.5631
Zn 0.2720 0.2917 0.5625
Fe 0.5072 0.8019 0.5869
Fe 0.5759 0.3170 0.1676
Fe 0.5845 0.8585 0.1784
Fe 0.9438 0.4423 0.8897
O 0.3315 0.5649 0.1518
O 0.3553 0.0927 0.7391
O 0.3615 0.6557 0.7352
O 0.3818 0.1407 0.2560
O 0.8078 0.5653 0.1432
O 0.8328 0.0678 0.6819
O 0.8412 0.6201 0.6844
O 0.8595 0.1391 0.2425

***

The following is a calculated powder XRD pattern of Na2FeO2. It was derived from a PBE+U-relaxed structure, using Cu Kα, 1.54184 Å.
Lines closer than 0.1° are merged.

The 10 most intense peaks (2θ = 10–90°), low angle first:
2θ (°), I/Imax
21.2, 100
32.7, 44
35.4, 34
39.3, 44
39.7, 79
50.7, 37
53.7, 10
57.1, 44
66.0, 11
67.1, 15

Atomic structure:
Unit cell a=3.0401 b=4.5876 c=10.2411 alpha=90.00 beta=90.00 gamma=90.00
Element x y z (fractional)
Na 0.0000 0.0000 0.1908
Na 0.0000 0.0000 0.8092
Na 0.5000 0.5000 0.3092
Na 0.5000 0.5000 0.6908
Fe 0.0000 0.0000 0.5000
Fe 0.5000 0.5000 0.0000
O 0.0000 0.5000 0.1338
O 0.0000 0.5000 0.8662
O 0.5000 0.0000 0.3662
O 0.5000 0.0000 0.6338

***

The following is a calculated powder XRD pattern of K2Mo8O13. It was derived from a PBE+U-relaxed structure, using Cu Kα, 1.54184 Å.
Lines closer than 0.1° are merged.

The 10 most intense peaks (2θ = 10–90°), low angle first:
2θ (°), I/Imax
12.2, 50
12.3, 50
27.6, 38
27.8, 43
33.6, 100
35.2, 19
42.0, 19
42.2, 25
55.9, 28
56.2, 17

Atomic structure:
Unit cell a=10.1939 b=10.1939 c=3.2910 alpha=90.00 beta=90.00 gamma=90.52
Element x y z (fractional)
K 0.0000 0.5000 0.0000
K 0.5000 0.0000 0.0000
Mo 0.1146 0.8854 0.5000
Mo 0.1513 0.1513 0.0000
Mo 0.3413 0.6587 0.0000
Mo 0.3808 0.3808 0.5000
Mo 0.6192 0.6192 0.5000
Mo 0.6587 0.3413 0.0000
Mo 0.8487 0.8487 0.0000
Mo 0.8854 0.1146 0.5000
O 0.0491 0.2415 0.5000
O 0.1992 0.8008 0.0000
O 0.2415 0.0491 0.5000
O 0.2595 0.5472 0.5000
O 0.2948 0.2948 0.0000
O 0.4528 0.7405 0.5000
O 0.5000 0.5000 0.0000
O 0.5472 0.2595 0.5000
O 0.7052 0.7052 0.0000
O 0.7405 0.4528 0.5000
O 0.7585 0.9509 0.5000
O 0.8008 0.1992 0.0000
O 0.9509 0.7585 0.5000

***

The following is a calculated powder XRD pattern of Fe2P3O12. It was derived from a PBE+U-relaxed structure, using Cu Kα, 1.54184 Å.
Lines closer than 0.1° are merged.

The 10 most intense peaks (2θ = 10–90°), low angle first:
2θ (°), I/Imax
15.1, 69
20.8, 85
21.9, 36
25.2, 100
30.4, 62
33.3, 36
33.4, 17
34.0, 15
38.5, 15
60.4, 13

Atomic structure:
Unit cell a=8.1055 b=8.1078 c=8.5622 alpha=90.00 beta=61.91 gamma=60.05
Element x y z (fractional)
Fe 0.2035 0.1472 0.4441
Fe 0.2176 0.6402 0.9228
Fe 0.7824 0.3598 0.0772
Fe 0.7965 0.8528 0.5559
P 0.0008 0.5324 0.7494
P 0.2823 0.9663 0.7476
P 0.2831 0.7483 0.2531
P 0.7169 0.2517 0.7469
P 0.7177 0.0337 0.2524
P 0.9992 0.4676 0.2506
O 0.0718 0.1254 0.9351
O 0.1109 0.7182 0.4140
O 0.1301 0.6160 0.7617
O 0.1336 0.4878 0.0601
O 0.1745 0.3183 0.2929
O 0.1891 0.3252 0.5960
O 0.2219 0.9640 0.2879
O 0.2307 0.9794 0.5922
O 0.3110 0.6908 0.0669
O 0.3511 0.7560 0.7655
O 0.4752 0.9908 0.7033
O 0.4915 0.3944 0.7608
O 0.5085 0.6056 0.2392
O 0.5248 0.0092 0.2967
O 0.6489 0.2440 0.2345
O 0.6890 0.3092 0.9331
O 0.7693 0.0206 0.4078
O 0.7781 0.0360 0.7121
O 0.8109 0.6748 0.4040
O 0.8255 0.6817 0.7071
O 0.8664 0.5122 0.9399
O 0.8699 0.3840 0.2383
O 0.8891 0.2818 0.5860
O 0.9282 0.8746 0.0649

***

The following is a calculated powder XRD pattern of Li2Mn2CrO6. It was derived from a PBE+U-relaxed structure, using Cu Kα, 1.54184 Å.
Lines closer than 0.1° are merged.

The 10 most intense peaks (2θ = 10–90°), low angle first:
2θ (°), I/Imax
17.4, 100
34.3, 8
36.2, 26
38.7, 16
39.4, 8
44.3, 32
50.0, 13
57.8, 18
62.7, 16
75.0, 6

Atomic structure:
Unit cell a=5.1125 b=5.1125 c=10.2092 alpha=90.00 beta=90.00 gamma=61.45
Element x y z (fractional)
Li 0.1474 0.3526 0.2500
Li 0.3526 0.1474 0.7500
Li 0.6474 0.8526 0.2500
Li 0.8526 0.6474 0.7500
Mn 0.1628 0.1628 0.0000
Mn 0.3372 0.3372 0.5000
Mn 0.6628 0.6628 0.5000
Mn 0.8372 0.8372 0.0000
Cr 0.0000 0.0000 0.5000
Cr 0.5000 0.5000 0.0000
O 0.0209 0.3293 0.6061
O 0.1654 0.8346 0.0961
O 0.1707 0.4791 0.8939
O 0.3293 0.0209 0.3939
O 0.3346 0.6654 0.5961
O 0.4791 0.1707 0.1061
O 0.5209 0.8293 0.8939
O 0.6654 0.3346 0.4039
O 0.6707 0.9791 0.6061
O 0.8293 0.5209 0.1061
O 0.8346 0.1654 0.9039
O 0.9791 0.6707 0.3939

***

The following is a calculated powder XRD pattern of Li9Mn2Co5O16. It was derived from a PBE+U-relaxed structure, using Cu Kα, 1.54184 Å.
Lines closer than 0.1° are merged.

The 10 most intense peaks (2θ = 10–90°), low angle first:
2θ (°), I/Imax
18.4, 100
35.3, 15
36.5, 24
37.4, 8
42.6, 29
44.2, 26
44.4, 26
47.9, 8
62.9, 7
63.2, 14

Atomic structure:
Unit cell a=5.0724 b=5.8958 c=10.0101 alpha=91.76 beta=99.42 gamma=105.09
Element x y z (fractional)
Li 0.0000 0.0000 0.0000
Li 0.0013 0.2468 0.2539
Li 0.0019 0.5040 0.9983
Li 0.0035 0.7583 0.2481
Li 0.0060 0.0073 0.5061
Li 0.0081 0.4909 0.5075
Li 0.4992 0.3802 0.6266
Li 0.9887 0.2519 0.7541
Li 0.9995 0.7514 0.7503
Mn 0.4959 0.1223 0.3815
Mn 0.5011 0.3799 0.1261
Co 0.4936 0.6168 0.3819
Co 0.5010 0.1347 0.8716
Co 0.5009 0.8788 0.6250
Co 0.5059 0.8787 0.1283
Co 0.5093 0.6278 0.8698
O 0.2622 0.2968 0.4366
O 0.2641 0.3223 0.9391
O 0.2750 0.0525 0.1979
O 0.2748 0.5524 0.2016
O 0.2796 0.6068 0.6837
O 0.2807 0.8279 0.4410
O 0.2830 0.0556 0.6946
O 0.2871 0.8196 0.9482
O 0.7143 0.7007 0.5528
O 0.7180 0.4130 0.3247
O 0.7194 0.1595 0.5601
O 0.7224 0.9392 0.3084
O 0.7313 0.2032 0.0590
O 0.7317 0.9348 0.8010
O 0.7375 0.4487 0.8180
O 0.7371 0.7038 0.0680

***

The following is a calculated powder XRD pattern of Sr2Mn3P4H2O16. It was derived from a PBE+U-relaxed structure, using Cu Kα, 1.54184 Å.
Lines closer than 0.1° are merged.

The 10 most intense peaks (2θ = 10–90°), low angle first:
2θ (°), I/Imax
19.8, 38
24.8, 45
25.8, 88
26.4, 35
28.1, 43
28.2, 85
30.4, 37
31.2, 47
33.0, 100
50.3, 31

Atomic structure:
Unit cell a=8.0222 b=8.8929 c=9.7219 alpha=90.00 beta=101.53 gamma=90.00
Element x y z (fractional)
Sr 0.0740 0.0242 0.2353
Sr 0.0740 0.4758 0.7353
Sr 0.9260 0.5242 0.2647
Sr 0.9260 0.9758 0.7647
Mn 0.3981 0.6438 0.4046
Mn 0.3981 0.8562 0.9046
Mn 0.5000 0.0000 0.5000
Mn 0.5000 0.5000 0.0000
Mn 0.6019 0.1438 0.0954
Mn 0.6019 0.3562 0.5954
P 0.1560 0.7150 0.0647
P 0.1560 0.7850 0.5647
P 0.3545 0.2023 0.7698
P 0.3545 0.2977 0.2698
P 0.6455 0.7023 0.7302
P 0.6455 0.7977 0.2302
P 0.8440 0.2150 0.4353
P 0.8440 0.2850 0.9353
H 0.0986 0.1602 0.5677
H 0.0986 0.3398 0.0677
H 0.9014 0.6602 0.9323
H 0.9014 0.8398 0.4323
O 0.0351 0.1532 0.4640
O 0.0351 0.3468 0.9640
O 0.1523 0.6179 0.5192
O 0.1523 0.8821 0.0192
O 0.1585 0.1732 0.7218
O 0.1585 0.3268 0.2218
O 0.2060 0.6926 0.2240
O 0.2060 0.8074 0.7240
O 0.2616 0.6261 0.9764
O 0.2616 0.8739 0.4764
O 0.3773 0.1314 0.3173
O 0.3773 0.3686 0.8173
O 0.4317 0.0939 0.8914
O 0.4317 0.4061 0.3914
O 0.4417 0.1792 0.6423
O 0.4417 0.3208 0.1423
O 0.5583 0.6792 0.8577
O 0.5583 0.8208 0.3577
O 0.5683 0.5939 0.6086
O 0.5683 0.9061 0.1086
O 0.6227 0.6314 0.1827
O 0.6227 0.8686 0.6827
O 0.7384 0.1261 0.5236
O 0.7384 0.3739 0.0236
O 0.7940 0.1926 0.2760
O 0.7940 0.3074 0.7760
O 0.8415 0.6732 0.7782
O 0.8415 0.8268 0.2782
O 0.8477 0.1179 0.9808
O 0.8477 0.3821 0.4808
O 0.9649 0.6532 0.0360
O 0.9649 0.8468 0.5360

***

Copy entry 7 word for word.
The following is a calculated powder XRD pattern of Li9Mn2Co5O16. It was derived from a PBE+U-relaxed structure, using Cu Kα, 1.54184 Å.
Lines closer than 0.1° are merged.

The 10 most intense peaks (2θ = 10–90°), low angle first:
2θ (°), I/Imax
18.4, 100
35.3, 15
36.5, 24
37.4, 8
42.6, 29
44.2, 26
44.4, 26
47.9, 8
62.9, 7
63.2, 14

Atomic structure:
Unit cell a=5.0724 b=5.8958 c=10.0101 alpha=91.76 beta=99.42 gamma=105.09
Element x y z (fractional)
Li 0.0000 0.0000 0.0000
Li 0.0013 0.2468 0.2539
Li 0.0019 0.5040 0.9983
Li 0.0035 0.7583 0.2481
Li 0.0060 0.0073 0.5061
Li 0.0081 0.4909 0.5075
Li 0.4992 0.3802 0.6266
Li 0.9887 0.2519 0.7541
Li 0.9995 0.7514 0.7503
Mn 0.4959 0.1223 0.3815
Mn 0.5011 0.3799 0.1261
Co 0.4936 0.6168 0.3819
Co 0.5010 0.1347 0.8716
Co 0.5009 0.8788 0.6250
Co 0.5059 0.8787 0.1283
Co 0.5093 0.6278 0.8698
O 0.2622 0.2968 0.4366
O 0.2641 0.3223 0.9391
O 0.2750 0.0525 0.1979
O 0.2748 0.5524 0.2016
O 0.2796 0.6068 0.6837
O 0.2807 0.8279 0.4410
O 0.2830 0.0556 0.6946
O 0.2871 0.8196 0.9482
O 0.7143 0.7007 0.5528
O 0.7180 0.4130 0.3247
O 0.7194 0.1595 0.5601
O 0.7224 0.9392 0.3084
O 0.7313 0.2032 0.0590
O 0.7317 0.9348 0.8010
O 0.7375 0.4487 0.8180
O 0.7371 0.7038 0.0680